Computed PXRD pattern
Compound: PuFeTeO6
Radiation: Cu Kα, 1.54184 Å
Structure: DFT lattice parameters and positions (GGA+U)
Neutral-atom scattering factors, no anomalous dispersion.

Principal peaks in the range 2θ = 10–90°, in order of rising 2θ:
- 2θ = 18.5°, d 4.796, intensity 29, (1 0 0)
- 2θ = 20.1°, d 4.428, intensity 55, (0 0 2)
- 2θ = 21.1°, d 4.218, intensity 29, (1 0 1)
- 2θ = 27.4°, d 3.254, intensity 100, (1 0 2)
- 2θ = 32.3°, d 2.769, intensity 77, (1 1 0)
- 2θ = 38.3°, d 2.348, intensity 70, (1 1 2)
- 2θ = 42.9°, d 2.109, intensity 30, (2 0 2)
- 2θ = 52.9°, d 1.729, intensity 60, (1 1 4)
- 2θ = 54.7°, d 1.678, intensity 29, (3 -1 2)
- 2θ = 57.7°, d 1.599, intensity 27, (3 0 0)
- 2θ = 61.7°, d 1.504, intensity 17, (3 0 2)
- 2θ = 82.1°, d 1.174, intensity 16, (4 -2 4)

```
data_PuFeTeO6
_chemical_formula_sum 'Pu2 Fe2 Te2 O12'
_cell_length_a 5.5382
_cell_length_b 5.5382
_cell_length_c 8.8567
_cell_angle_alpha 90.00
_cell_angle_beta 90.00
_cell_angle_gamma 120.00
_symmetry_space_group_name_H-M 'P -3 1 c'
_symmetry_Int_Tables_number 163
_symmetry_space_group_name_Hall '-P 3 2c'
loop_
_atom_site_label
_atom_site_fract_x
_atom_site_fract_y
_atom_site_fract_z
_atom_site_occupancy
Pu1 0.3333 0.6667 0.2500 1
Fe1 0.0000 0.0000 0.0000 1
Te1 0.3333 0.6667 0.7500 1
O1 0.0039 0.3258 0.1252 1
```